Entry 1:
# Hf8AuN2
Theoretical powder diffractogram, Cu Kα, 1.54184 Å. Input: the PBE geometry in Alexandria.
Peak positions follow from Bragg's law for the DFT cell and can differ from measured ones.

Structural model:
```
data_Hf8AuN2
_chemical_formula_sum 'Hf16 Au2 N4'
_cell_length_a 12.4640
_cell_length_b 6.5282
_cell_length_c 5.5990
_cell_angle_alpha 90.00
_cell_angle_beta 97.66
_cell_angle_gamma 90.00
_symmetry_space_group_name_H-M 'C 1 2/m 1'
_symmetry_Int_Tables_number 12
loop_
_symmetry_equiv_pos_as_xyz
'x,y,z'
'-x,-y,-z'
'-x,y,-z'
'x,-y,z'
'x+1/2,y+1/2,z'
'-x+1/2,-y+1/2,-z'
'-x+1/2,y+1/2,-z'
'x+1/2,-y+1/2,z'
loop_
_atom_site_label
_atom_site_type_symbol
_atom_site_fract_x
_atom_site_fract_y
_atom_site_fract_z
Hf1 Hf 0.0963 0.2343 0.2074
Hf2 Hf 0.1525 0.0000 0.7257
Hf3 Hf 0.1915 0.5000 0.7838
Au1 Au 0.0000 0.5000 0.5000
N1 N 0.1808 0.5000 0.1515
```

Most intense lines, 15° ≤ 2θ ≤ 90°, by angle:
| d (Å) | intensity | (hkl) |
| --- | --- | --- |
| 2.866 | 141 | 4 0 -1 |
| 2.812 | 205 | 3 1 1 |
| 2.775 | 307 | 0 0 2 |
| 2.628 | 1000 | 2 2 -1 |
| 2.558 | 356 | 4 0 1 |
| 2.497 | 291 | 2 2 1 |
| 2.216 | 195 | 4 0 -2 |
| 1.940 | 255 | 2 2 2 |
| 1.741 | 245 | 6 2 0 |
| 1.632 | 149 | 0 4 0 |



Entry 2:
# BaNdI
Theoretical powder diffractogram, Cu Kα, 1.54184 Å. Input: the PBE geometry in Alexandria.
Peak positions follow from Bragg's law for the DFT cell and can differ from measured ones.

Structural model:
```
data_BaNdI
_chemical_formula_sum 'Ba4 Nd4 I4'
_cell_length_a 16.5356
_cell_length_b 4.1310
_cell_length_c 7.1536
_cell_angle_alpha 90.00
_cell_angle_beta 90.00
_cell_angle_gamma 90.00
_symmetry_space_group_name_H-M 'A m m 2'
_symmetry_Int_Tables_number 38
loop_
_symmetry_equiv_pos_as_xyz
'x,y,z'
'-x,-y,z'
'-x,y,z'
'x,-y,z'
'x,y+1/2,z+1/2'
'-x,-y+1/2,z+1/2'
'-x,y+1/2,z+1/2'
'x,-y+1/2,z+1/2'
loop_
_atom_site_label
_atom_site_type_symbol
_atom_site_fract_x
_atom_site_fract_y
_atom_site_fract_z
Ba1 Ba 0.1938 0.0000 0.0000
Nd1 Nd 0.0000 0.0000 0.3339
Nd2 Nd 0.5000 0.0000 0.9996
I1 I 0.3653 0.0000 0.3330
```

Most intense lines, 15° ≤ 2θ ≤ 90°, by angle:
| d (Å) | intensity | (hkl) |
| --- | --- | --- |
| 3.577 | 323 | 0 0 2 |
| 3.307 | 77 | 5 0 0 |
| 3.001 | 1000 | 3 1 1 |
| 2.756 | 89 | 6 0 0 |
| 2.705 | 120 | 4 0 2 |
| 2.065 | 291 | 0 2 0 |
| 1.789 | 147 | 8 0 2 |
| 1.701 | 187 | 3 0 4 |
| 1.653 | 126 | 6 2 0 |
| 1.313 | 158 | 3 3 1 |



Entry 3:
# PmSmTl4
Theoretical powder diffractogram, Cu Kα, 1.54184 Å. Input: the PBE geometry in Alexandria.
Peak positions follow from Bragg's law for the DFT cell and can differ from measured ones.

Structural model:
```
data_PmSmTl4
_chemical_formula_sum 'Pm4 Sm4 Tl16'
_cell_length_a 8.8304
_cell_length_b 8.8304
_cell_length_c 8.8304
_cell_angle_alpha 90.00
_cell_angle_beta 90.00
_cell_angle_gamma 90.00
_symmetry_space_group_name_H-M 'F -4 3 m'
_symmetry_Int_Tables_number 216
_symmetry_space_group_name_Hall 'F -4 2 3'
loop_
_atom_site_label
_atom_site_type_symbol
_atom_site_fract_x
_atom_site_fract_y
_atom_site_fract_z
Pm1 Pm 0.0000 0.0000 0.0000
Sm1 Sm 0.2500 0.2500 0.2500
Tl1 Tl 0.1250 0.1250 0.6250
```

Most intense lines, 15° ≤ 2θ ≤ 90°, by angle:
| d (Å) | intensity | (hkl) |
| --- | --- | --- |
| 5.098 | 155 | 1 1 1 |
| 3.122 | 183 | 2 2 0 |
| 2.662 | 1000 | 3 1 1 |
| 2.549 | 508 | 2 2 2 |
| 2.208 | 101 | 4 0 0 |
| 1.699 | 354 | 5 1 1 |
| 1.561 | 326 | 4 4 0 |
| 1.347 | 123 | 5 3 3 |
| 1.331 | 207 | 6 2 2 |
| 1.150 | 228 | 7 3 1 |